(1)
For Ho4Er3, a structure optimized by DFT (PBE) gives the theoretical powder diffractogram in this record (Cu Kα, 1.54184 Å).
Peak positions follow from Bragg's law for the DFT cell and can differ from measured ones.

Largest 8 diffraction maxima, by angle, 15 to 90 degrees two-theta:
| 2theta | I (rel.) |
| --- | --- |
| 31.24 | 100.0 |
| 36.23 | 50.6 |
| 52.17 | 35.9 |
| 62.08 | 42.6 |
| 65.17 | 12.3 |
| 76.91 | 5.7 |
| 85.32 | 17.9 |
| 88.10 | 16.8 |

Structural model:
Lattice parameters (Å, degrees): 11.085 4.960 7.842 90.00 98.16 90.00
Sites, in units of the cell vectors:
Ho: 0.143 0.000 0.428
Ho: 0.214 0.500 0.143
Ho: 0.286 0.000 0.857
Ho: 0.357 0.500 0.572
Ho: 0.643 0.500 0.428
Ho: 0.714 0.000 0.143
Ho: 0.786 0.500 0.857
Ho: 0.857 0.000 0.572
Er: 0.000 0.000 0.000
Er: 0.071 0.500 0.714
Er: 0.429 0.000 0.286
Er: 0.500 0.500 0.000
Er: 0.571 0.000 0.714
Er: 0.929 0.500 0.286

***

(2)
For Tm7PtSe5, a structure optimized by DFT (PBE) gives the theoretical powder diffractogram in this record (Cu Kα, 1.54184 Å).
Peak positions follow from Bragg's law for the DFT cell and can differ from measured ones.

Largest 10 diffraction maxima, by angle, 15 to 90 degrees two-theta:
| 2theta | I (rel.) |
| --- | --- |
| 28.04 | 26.7 |
| 29.29 | 78.0 |
| 31.49 | 100.0 |
| 32.60 | 63.3 |
| 32.72 | 30.2 |
| 41.47 | 48.0 |
| 45.35 | 30.0 |
| 45.55 | 26.9 |
| 46.40 | 36.0 |
| 55.83 | 26.6 |

Structural model:
Lattice parameters (Å, degrees): 6.879 6.879 24.067 90.00 90.00 146.95
Sites, in units of the cell vectors:
Tm: 0.040 0.960 0.500
Tm: 0.138 0.862 0.212
Tm: 0.139 0.861 0.788
Tm: 0.296 0.704 0.432
Tm: 0.297 0.703 0.569
Tm: 0.407 0.593 0.130
Tm: 0.408 0.592 0.870
Tm: 0.592 0.408 0.370
Tm: 0.593 0.407 0.630
Tm: 0.703 0.297 0.069
Tm: 0.704 0.296 0.932
Tm: 0.861 0.139 0.288
Tm: 0.862 0.138 0.712
Tm: 0.960 0.040 0.000
Pt: 0.305 0.695 0.000
Pt: 0.695 0.305 0.500
Se: 0.055 0.945 0.107
Se: 0.056 0.944 0.894
Se: 0.220 0.780 0.321
Se: 0.221 0.779 0.679
Se: 0.499 0.501 0.250
Se: 0.501 0.499 0.750
Se: 0.779 0.221 0.179
Se: 0.780 0.220 0.821
Se: 0.944 0.056 0.394
Se: 0.945 0.055 0.607